Entry 1:
Structure and calculated PXRD pattern of Li2In2Cu (the PBE geometry in Alexandria; Cu Kα, 1.54184 Å).
Kinematic intensities with the Lorentz-polarization factor, no thermal factor.

Peak list (10 most intense, 2θ from 15° to 90°, by angle)
| d (Å) | Position (°2θ) | intensity | h k l |
| --- | --- | --- | --- |
| 4.889 | 18.14 | 100 | 0 0 1 |
| 3.861 | 23.03 | 31 | 0 1 0 |
| 3.751 | 23.72 | 31 | 1 1 1 |
| 3.477 | 25.62 | 58 | 1 0 1 |
| 2.374 | 37.90 | 68 | 1 1 -1 |
| 2.352 | 38.27 | 66 | 1 0 2 |
| 2.335 | 38.56 | 65 | 0 1 2 |
| 2.298 | 39.20 | 63 | 1 -1 0 |
| 2.274 | 39.63 | 61 | 1 2 1 |
| 2.257 | 39.95 | 59 | 2 1 1 |

Structural model:
```
data_Li2In2Cu
_chemical_formula_sum 'Li2 In2 Cu1'
_cell_length_a 4.5146
_cell_length_b 4.5509
_cell_length_c 5.4833
_cell_angle_alpha 67.35
_cell_angle_beta 66.72
_cell_angle_gamma 60.94
_space_group_name_H-M_alt 'P -1'
_space_group_IT_number 2
_space_group_name_Hall '-P 1'
loop_
_atom_site_label
_atom_site_type_symbol
_atom_site_fract_x
_atom_site_fract_y
_atom_site_fract_z
_atom_site_occupancy
Li1 Li 0.1917 0.1908 0.4253 1
In1 In 0.3954 0.3940 0.8122 1
Cu1 Cu 0.0000 0.0000 0.0000 1
```

---

Entry 2:
Structure and calculated PXRD pattern of Li2In2Cu (the PBE geometry in Alexandria; Cu Kα, 1.54184 Å).
Kinematic intensities with the Lorentz-polarization factor, no thermal factor.

Peak list (10 most intense, 2θ from 15° to 90°, by angle)
| d (Å) | Position (°2θ) | intensity | h k l |
| --- | --- | --- | --- |
| 5.580 | 15.88 | 61 | 1 1 0 |
| 3.283 | 27.17 | 100 | 1 2 1 |
| 2.790 | 32.08 | 39 | 2 2 0 |
| 2.604 | 34.44 | 34 | 2 1 1 |
| 2.382 | 37.76 | 75 | 1 4 1 |
| 2.311 | 38.97 | 30 | 0 2 2 |
| 2.012 | 45.07 | 18 | 1 3 2 |
| 1.961 | 46.30 | 28 | 2 0 2 |
| 1.860 | 48.97 | 23 | 3 3 0 |
| 1.492 | 62.22 | 19 | 4 1 1 |

Structural model:
```
data_Li2In2Cu
_chemical_formula_sum 'Li8 In8 Cu4'
_cell_length_a 6.3041
_cell_length_b 11.9957
_cell_length_c 5.0096
_cell_angle_alpha 90.00
_cell_angle_beta 90.00
_cell_angle_gamma 90.00
_space_group_name_H-M_alt 'I b a m'
_space_group_IT_number 72
_space_group_name_Hall '-I 2 2c'
loop_
_atom_site_label
_atom_site_type_symbol
_atom_site_fract_x
_atom_site_fract_y
_atom_site_fract_z
_atom_site_occupancy
Li1 Li 0.1652 0.0802 0.0000 1
In1 In 0.1984 0.3218 0.0000 1
Cu1 Cu 0.0000 0.5000 0.2500 1
```

---

Entry 3:
Structure and calculated PXRD pattern of Li2InCu2Pd5 (the PBE geometry in Alexandria; Cu Kα, 1.54184 Å).
Kinematic intensities with the Lorentz-polarization factor, no thermal factor.

Peak list (10 most intense, 2θ from 15° to 90°, by angle)
| d (Å) | Position (°2θ) | intensity | h k l |
| --- | --- | --- | --- |
| 4.482 | 19.81 | 19 | 2 0 0 |
| 4.010 | 22.17 | 69 | 0 0 1 |
| 2.487 | 36.12 | 19 | 2 2 1 |
| 2.315 | 38.90 | 100 | 3 1 1 |
| 2.174 | 41.54 | 19 | 4 1 0 |
| 2.113 | 42.79 | 45 | 3 2 1 |
| 2.006 | 45.21 | 46 | 0 0 2 |
| 1.912 | 47.57 | 22 | 4 1 1 |
| 1.418 | 65.88 | 22 | 6 2 0 |
| 1.209 | 79.21 | 29 | 5 5 1 |

Structural model:
```
data_Li2InCu2Pd5
_chemical_formula_sum 'Li4 In2 Cu4 Pd10'
_cell_length_a 8.9637
_cell_length_b 8.9637
_cell_length_c 4.0138
_cell_angle_alpha 90.00
_cell_angle_beta 90.00
_cell_angle_gamma 90.00
_space_group_name_H-M_alt 'P 4/m b m'
_space_group_IT_number 127
_space_group_name_Hall '-P 4 2ab'
loop_
_atom_site_label
_atom_site_type_symbol
_atom_site_fract_x
_atom_site_fract_y
_atom_site_fract_z
_atom_site_occupancy
Li1 Li 0.1704 0.3296 0.0000 1
In1 In 0.0000 0.0000 0.0000 1
Cu1 Cu 0.1230 0.6230 0.0000 1
Pd1 Pd 0.0000 0.5000 0.5000 1
Pd2 Pd 0.0791 0.7973 0.5000 1
```

---

Entry 4:
Structure and calculated PXRD pattern of LiIn2CuTe4 (the PBE geometry in Alexandria; Cu Kα, 1.54184 Å).
Kinematic intensities with the Lorentz-polarization factor, no thermal factor.

Peak list (10 most intense, 2θ from 15° to 90°, by angle)
| d (Å) | Position (°2θ) | intensity | h k l |
| --- | --- | --- | --- |
| 5.707 | 15.53 | 8 | 1 0 1 |
| 3.687 | 24.14 | 100 | 1 1 2 |
| 2.782 | 32.17 | 8 | 2 1 1 |
| 2.260 | 39.89 | 49 | 2 0 4 |
| 2.253 | 40.02 | 24 | 2 2 0 |
| 1.931 | 47.07 | 16 | 1 1 6 |
| 1.923 | 47.28 | 30 | 3 1 2 |
| 1.466 | 63.45 | 12 | 1 3 6 |
| 1.306 | 72.36 | 8 | 2 2 8 |
| 1.302 | 72.60 | 14 | 2 4 4 |

Structural model:
```
data_LiIn2CuTe4
_chemical_formula_sum 'Li2 In4 Cu2 Te8'
_cell_length_a 6.3729
_cell_length_b 6.3729
_cell_length_c 12.8205
_cell_angle_alpha 90.00
_cell_angle_beta 90.00
_cell_angle_gamma 90.00
_space_group_name_H-M_alt 'I -4'
_space_group_IT_number 82
_space_group_name_Hall 'I -4'
loop_
_atom_site_label
_atom_site_type_symbol
_atom_site_fract_x
_atom_site_fract_y
_atom_site_fract_z
_atom_site_occupancy
Li1 Li 0.0000 0.0000 0.0000 1
In1 In 0.0000 0.0000 0.5000 1
In2 In 0.0000 0.5000 0.2500 1
Cu1 Cu 0.0000 0.5000 0.7500 1
Te1 Te 0.2270 0.2600 0.8708 1
```

---

Entry 5:
Structure and calculated PXRD pattern of MgInCu5 (the PBE geometry in Alexandria; Cu Kα, 1.54184 Å).
Kinematic intensities with the Lorentz-polarization factor, no thermal factor.

Peak list (10 most intense, 2θ from 15° to 90°, by angle)
| d (Å) | Position (°2θ) | intensity | h k l |
| --- | --- | --- | --- |
| 4.408 | 20.15 | 28 | 1 0 2 |
| 3.926 | 22.65 | 80 | 1 1 1 |
| 2.494 | 36.01 | 32 | 0 2 0 |
| 2.334 | 38.58 | 36 | 2 1 3 |
| 2.287 | 39.40 | 83 | 3 1 1 |
| 2.073 | 43.67 | 73 | 2 2 1 |
| 2.046 | 44.26 | 48 | 1 0 5 |
| 2.016 | 44.97 | 100 | 2 1 4 |
| 1.973 | 45.99 | 100 | 1 2 3 |
| 1.955 | 46.44 | 37 | 4 0 1 |

Structural model:
```
data_MgInCu5
_chemical_formula_sum 'Mg4 In4 Cu20'
_cell_length_a 7.9588
_cell_length_b 4.9884
_cell_length_c 10.5879
_cell_angle_alpha 90.00
_cell_angle_beta 90.00
_cell_angle_gamma 90.00
_space_group_name_H-M_alt 'P n m a'
_space_group_IT_number 62
_space_group_name_Hall '-P 2ac 2n'
loop_
_atom_site_label
_atom_site_type_symbol
_atom_site_fract_x
_atom_site_fract_y
_atom_site_fract_z
_atom_site_occupancy
Mg1 Mg 0.2395 0.2500 0.0607 1
In1 In 0.1239 0.2500 0.3625 1
Cu1 Cu 0.0618 0.2500 0.6047 1
Cu2 Cu 0.0672 0.5033 0.8192 1
Cu3 Cu 0.0998 0.7500 0.0202 1
Cu4 Cu 0.1868 0.7500 0.2459 1
```

---

Entry 6:
Structure and calculated PXRD pattern of MgIn2Cu2 (the PBE geometry in Alexandria; Cu Kα, 1.54184 Å).
Kinematic intensities with the Lorentz-polarization factor, no thermal factor.

Peak list (10 most intense, 2θ from 15° to 90°, by angle)
| d (Å) | Position (°2θ) | intensity | h k l |
| --- | --- | --- | --- |
| 4.076 | 21.80 | 31 | 0 1 1 |
| 3.243 | 27.50 | 16 | 1 0 2 |
| 3.172 | 28.13 | 12 | 1 1 0 |
| 3.007 | 29.71 | 10 | 1 1 1 |
| 2.258 | 39.92 | 26 | 0 2 0 |
| 2.236 | 40.33 | 100 | 1 1 3 |
| 2.228 | 40.49 | 25 | 2 0 0 |
| 1.586 | 58.17 | 16 | 2 2 0 |
| 1.300 | 72.77 | 16 | 1 3 3 |
| 1.288 | 73.56 | 23 | 3 1 3 |

Structural model:
```
data_MgIn2Cu2
_chemical_formula_sum 'Mg2 In4 Cu4'
_cell_length_a 4.4554
_cell_length_b 4.5166
_cell_length_c 9.4615
_cell_angle_alpha 90.00
_cell_angle_beta 90.00
_cell_angle_gamma 90.00
_space_group_name_H-M_alt 'P m m n'
_space_group_IT_number 59
loop_
_space_group_symop_operation_xyz
'x,y,z'
'-x,-y,-z'
'-x+1/2,-y+1/2,z'
'x+1/2,y+1/2,-z'
'x+1/2,-y,-z'
'-x+1/2,y,z'
'-x,y+1/2,-z'
'x,-y+1/2,z'
loop_
_atom_site_label
_atom_site_type_symbol
_atom_site_fract_x
_atom_site_fract_y
_atom_site_fract_z
_atom_site_occupancy
Mg1 Mg 0.2500 0.2500 0.1721 1
In1 In 0.2500 0.2500 0.4966 1
In2 In 0.2500 0.2500 0.8294 1
Cu1 Cu 0.2500 0.7500 0.0072 1
Cu2 Cu 0.2500 0.7500 0.3308 1
```